Entry 1:
# Mg2PHO5
Simulated powder X-ray diffraction pattern, Cu Kα, 1.54184 Å. Input: DFT lattice parameters and positions (PBE).
Peak positions follow from Bragg's law for the DFT cell and can differ from measured ones.

```
data_Mg2PHO5
_cell_length_a 11.6906
_cell_length_b 11.6906
_cell_length_c 4.8725
_cell_angle_alpha 90.00
_cell_angle_beta 90.00
_cell_angle_gamma 120.00
_space_group_name_H-M_alt 'P 3 1 m'
_space_group_IT_number 157
loop_
_space_group_symop_operation_xyz
'x,y,z'
'-y,x-y,z'
'-x+y,-x,z'
'y,x,z'
'x-y,-y,z'
'-x,-x+y,z'
loop_
_atom_site_label
_atom_site_fract_x
_atom_site_fract_y
_atom_site_fract_z
Mg1 0.1404 0.6463 0.0000
Mg2 0.1674 0.3386 0.5526
P1 0.0000 0.0000 0.0395
P2 0.0000 0.3490 0.0800
P3 0.3333 0.6667 0.4971
H1 0.0000 0.1086 0.9153
H2 0.0000 0.5037 0.5343
O1 0.0000 0.0000 0.3505
O2 0.0000 0.2662 0.3373
O3 0.0000 0.4717 0.2032
O4 0.0000 0.5353 0.7200
O5 0.0000 0.7092 0.0344
O6 0.0000 0.7626 0.7488
O7 0.1280 0.3926 0.9142
O8 0.2398 0.7154 0.3880
O9 0.3333 0.6667 0.8202
```

The 10 most intense peaks (2θ from 10° to 90°), in order of rising 2θ:
2θ (°), I (rel.)
23.77, 538
25.37, 739
26.41, 376
30.59, 717
35.83, 1000
36.92, 441
43.15, 322
51.30, 289
54.37, 333
67.53, 249


Entry 2:
# Mg3P2H16O16
Simulated powder X-ray diffraction pattern, Cu Kα, 1.54184 Å. Input: DFT lattice parameters and positions (PBE).
Peak positions follow from Bragg's law for the DFT cell and can differ from measured ones.

```
data_Mg3P2H16O16
_cell_length_a 10.1660
_cell_length_b 13.4341
_cell_length_c 4.6942
_cell_angle_alpha 90.00
_cell_angle_beta 105.39
_cell_angle_gamma 90.00
_space_group_name_H-M_alt 'C 1 2/m 1'
_space_group_IT_number 12
loop_
_space_group_symop_operation_xyz
'x,y,z'
'-x,-y,-z'
'-x,y,-z'
'x,-y,z'
'x+1/2,y+1/2,z'
'-x+1/2,-y+1/2,-z'
'-x+1/2,y+1/2,-z'
'x+1/2,-y+1/2,z'
loop_
_atom_site_label
_atom_site_fract_x
_atom_site_fract_y
_atom_site_fract_z
Mg1 0.0000 0.0000 0.0000
Mg2 0.0000 0.3895 0.0000
P1 0.1865 0.5000 0.6139
H1 0.0398 0.2191 0.2878
H2 0.1250 0.0809 0.6404
H3 0.1267 0.3061 0.4890
H4 0.1895 0.1239 0.9608
O1 0.0973 0.2780 0.2856
O2 0.0996 0.1130 0.8112
O3 0.1024 0.5000 0.2859
O4 0.1579 0.0000 0.3810
O5 0.1580 0.4034 0.7717
```

The 10 most intense peaks (2θ from 10° to 90°), in order of rising 2θ:
2θ (°), I (rel.)
11.17, 267
13.18, 1000
27.80, 196
29.92, 258
30.23, 164
33.10, 263
33.22, 255
35.36, 339
36.78, 161
54.70, 177